Structure and computed XRD peak list of ZrP2CO6 (a crystal structure in the Materials Project, relaxed with GGA-PBE; CuKα).

Main lines, most intense first (2θ from 5° to 70°):
| hkl | Position (°2θ) | I_rel |
| --- | --- | --- |
| 0 1 1 | 16.0 | 100.0 |
| 1 2 -1 | 28.7 | 32.1 |
| 1 1 0 | 20.7 | 28.2 |
| 1 1 -2 | 28.4 | 20.1 |
| 1 1 -1 | 21.7 | 18.3 |
| 1 3 -2 | 42.1 | 15.3 |
| 0 2 2 | 32.2 | 15.1 |
| 1 0 1 | 23.6 | 15.0 |

Atomic structure:
```
20
Lattice="5.1435 0.0000 0.0000 0.0000 8.2927 0.0000 -1.8124 0.0000 7.4739" Properties=species:S:1:pos:R:3 pbc="T T T"
Zr 0.6414 0.0000 1.7193
Zr 2.6897 4.1463 5.7546
P 0.1831 2.1565 4.5191
P 2.0031 5.5811 0.0823
P 1.3280 1.4348 7.3916
P 3.1480 6.3029 2.9548
C 0.7757 1.0598 5.7654
C 2.5554 5.2061 1.7085
O -0.5940 6.7802 2.5494
O -0.8632 4.5962 7.0421
O 0.1380 1.4124 3.1734
O 1.3963 6.9905 0.2331
O 1.9012 1.4433 0.8361
O 1.1729 3.3412 4.5099
O 2.1582 7.4875 2.9640
O 1.4300 5.5896 6.6378
O 1.9348 2.8441 7.2408
O 3.1931 5.5588 4.3006
O 4.1943 0.4498 0.4319
O 3.9251 2.6339 4.9245
```